No. 1
Computed powder diffraction line list
Compound: Li3CoP2O8
Radiation: Cu Ka
Structure: a crystal structure in the Materials Project, relaxed with GGA+U

Atomic structure:
Unit cell a=8.1750 b=10.4003 c=8.2751 alpha=90.00 beta=104.60 gamma=90.00
Space group P2_1 (No. 4)
Inequivalent atoms, fractional coordinates:
Li 0.0485 0.0000 0.0349 x2
Li 0.1024 0.2553 0.8412 x2
Li 0.1086 0.0823 0.3481 x2
Li 0.1399 0.5737 0.4158 x2
Li 0.1478 0.7624 0.9051 x2
Li 0.3316 0.2727 0.5932 x2
Co 0.4057 0.7603 0.6623 x2
Co 0.4078 0.5807 0.1605 x2
P 0.2099 0.0117 0.7192 x2
P 0.2220 0.3342 0.2199 x2
P 0.2632 0.8193 0.2865 x2
P 0.2662 0.5165 0.7925 x2
O 0.0750 0.3253 0.0608 x2
O 0.0771 0.0244 0.5546 x2
O 0.1099 0.5795 0.8340 x2
O 0.1166 0.7453 0.3239 x2
O 0.1509 0.0648 0.8667 x2
O 0.1836 0.2662 0.3688 x2
O 0.2260 0.9593 0.2386 x2
O 0.2455 0.3751 0.7467 x2
O 0.2627 0.4822 0.2610 x2
O 0.2632 0.8656 0.7542 x2
O 0.3121 0.5927 0.6437 x2
O 0.3199 0.7510 0.1365 x2
O 0.3737 0.0874 0.6995 x2
O 0.3886 0.2782 0.1835 x2
O 0.4201 0.5395 0.9483 x2
O 0.4227 0.8032 0.4445 x2

The 10 most intense peaks (2θ = 5–70°), low angle first:
index  2θ (°)  Rel. int.
1 0 0  11.18  36
0 1 1  13.96  33
1 1 0  14.07  41
1 1 -1  16.07  42
1 2 -1  21.88  100
0 0 2  22.20  95
2 1 0  24.06  59
2 2 -2  32.46  54
0 4 0  34.49  43
2 0 2  35.71  57



No. 2
Computed powder diffraction line list
Compound: Li9Mn2Co5O16
Radiation: Cu Ka
Structure: a crystal structure in the Materials Project, relaxed with GGA+U

Atomic structure:
Unit cell a=5.9066 b=7.6379 c=7.7174 alpha=65.51 beta=68.69 gamma=69.17
Space group P1 (No. 1)
Inequivalent atoms, fractional coordinates:
Li 0.0000 0.0000 0.0000 x1
Li 0.0007 0.5003 0.4992 x1
Li 0.1281 0.3792 0.8658 x1
Li 0.2558 0.7515 0.7468 x1
Li 0.3712 0.1300 0.6226 x1
Li 0.5026 0.4974 0.5008 x1
Li 0.6320 0.8699 0.3755 x1
Li 0.7538 0.2511 0.2492 x1
Li 0.8787 0.6211 0.1349 x1
Mn 0.1312 0.8706 0.3782 x1
Mn 0.6283 0.3748 0.8704 x1
Co 0.2420 0.2543 0.2559 x1
Co 0.3688 0.6206 0.1331 x1
Co 0.4993 0.0001 0.9983 x1
Co 0.7648 0.7431 0.7451 x1
Co 0.8782 0.1285 0.6213 x1
O 0.0199 0.7557 0.2515 x1
O 0.1204 0.6454 0.6107 x1
O 0.1406 0.1116 0.1418 x1
O 0.2523 0.9979 0.4896 x1
O 0.2764 0.4911 0.9968 x1
O 0.3794 0.3772 0.3549 x1
O 0.3900 0.8709 0.8877 x1
O 0.4780 0.7579 0.2559 x1
O 0.5019 0.2559 0.7587 x1
O 0.6162 0.1365 0.1036 x1
O 0.6302 0.6177 0.6493 x1
O 0.7432 0.4972 0.9910 x1
O 0.7894 0.9924 0.4966 x1
O 0.8601 0.8883 0.8582 x1
O 0.8902 0.3545 0.3866 x1
O 0.9642 0.2528 0.7531 x1

The 10 most intense peaks (2θ = 5–70°), low angle first:
index  2θ (°)  Rel. int.
1 0 1  18.34  100
-1 1 2  35.53  15
1 2 -1  35.97  13
1 3 2  36.56  12
0 1 3  37.55  8
-2 1 1  42.85  29
0 2 -2  43.58  28
2 3 3  44.37  26
2 -3 1  62.69  8
2 1 -3  62.85  8



No. 3
Computed powder diffraction line list
Compound: La6Sm2Cr3Fe5O24
Radiation: Cu Ka
Structure: a crystal structure in the Materials Project, relaxed with GGA+U

Atomic structure:
Unit cell a=7.8741 b=7.8751 c=7.8753 alpha=90.00 beta=90.01 gamma=90.00
Space group Pm (No. 6)
Inequivalent atoms, fractional coordinates:
La 0.0000 0.2497 0.0000 x2
La 0.0000 0.2497 0.4994 x2
La 0.5017 0.2497 0.0000 x2
Sm 0.5017 0.2497 0.4994 x2
Cr 0.7503 0.0000 0.2503 x1
Cr 0.7503 0.0000 0.7492 x1
Cr 0.7503 0.5000 0.2502 x1
Fe 0.2515 0.0000 0.2503 x1
Fe 0.2515 0.0000 0.7491 x1
Fe 0.2515 0.5000 0.2503 x1
Fe 0.2515 0.5000 0.7491 x1
Fe 0.7502 0.5000 0.7491 x1
O 0.9999 0.0000 0.2498 x1
O 0.0000 0.0000 0.7496 x1
O 0.0001 0.5000 0.2498 x1
O 0.0001 0.5000 0.7496 x1
O 0.2510 0.0000 0.9998 x1
O 0.2510 0.5000 0.0000 x1
O 0.2520 0.2499 0.2509 x2
O 0.2520 0.2498 0.7485 x2
O 0.2531 0.0000 0.4996 x1
O 0.2531 0.5000 0.4995 x1
O 0.5018 0.0000 0.2521 x1
O 0.5017 0.0000 0.7473 x1
O 0.5017 0.5000 0.2521 x1
O 0.5015 0.5000 0.7475 x1
O 0.7483 0.0000 0.4995 x1
O 0.7484 0.5000 0.4991 x1
O 0.7496 0.2494 0.7484 x2
O 0.7495 0.2498 0.2510 x2
O 0.7508 0.0000 0.9999 x1
O 0.7508 0.5000 0.0002 x1

The 7 most intense peaks (2θ = 5–70°), low angle first:
index  2θ (°)  Rel. int.
2 0 0  22.58  15
2 2 0  32.15  100
2 2 2  39.65  20
4 0 0  46.11  33
4 2 0  51.93  8
4 2 2  57.32  38
4 4 0  67.25  19



No. 4
Computed powder diffraction line list
Compound: Mn3O2F4
Radiation: Cu Ka
Structure: a crystal structure in the Materials Project, relaxed with GGA+U

Atomic structure:
Unit cell a=9.7871 b=4.7772 c=4.6731 alpha=90.00 beta=90.00 gamma=90.00
Space group Pmn2_1 (No. 31)
Inequivalent atoms, fractional coordinates:
Mn 0.0000 0.2470 0.0000 x2
Mn 0.1746 0.7109 0.4677 x4
O 0.1704 0.4395 0.1646 x4
F 0.0000 0.5223 0.6610 x2
F 0.0000 0.9039 0.2852 x2
F 0.1613 0.0234 0.7592 x4

The 10 most intense peaks (2θ = 5–70°), low angle first:
index  2θ (°)  Rel. int.
0 1 1  26.69  100
3 1 0  33.26  31
3 0 1  33.50  30
3 1 1  38.57  28
3 2 1  51.28  30
3 1 2  51.79  31
0 2 2  54.97  18
6 0 0  56.41  12
6 1 1  63.46  13
3 0 3  66.52  11



No. 5
Computed powder diffraction line list
Compound: Li2AlNi3O6
Radiation: Cu Ka
Structure: a crystal structure in the Materials Project, relaxed with GGA+U

Atomic structure:
Unit cell a=5.0609 b=8.7196 c=9.7167 alpha=90.00 beta=99.79 gamma=90.00
Space group C2 (No. 5)
Inequivalent atoms, fractional coordinates:
Li 0.0000 0.0000 0.0000 x2
Li 0.0000 0.1668 0.5000 x2
Li 0.0000 0.4955 0.5000 x2
Li 0.0000 0.6712 0.0000 x2
Al 0.2485 0.1682 0.2501 x4
Ni 0.0000 0.3394 0.0000 x2
Ni 0.0000 0.8363 0.5000 x2
Ni 0.2476 0.3358 0.7493 x4
Ni 0.2495 0.5042 0.2502 x4
O 0.0946 0.1738 0.8633 x4
O 0.0977 0.6664 0.3639 x4
O 0.1195 0.0054 0.3657 x4
O 0.1196 0.5126 0.8630 x4
O 0.1364 0.8327 0.8644 x4
O 0.1420 0.3233 0.3709 x4

The 10 most intense peaks (2θ = 5–70°), low angle first:
index  2θ (°)  Rel. int.
0 0 2  18.53  43
0 2 0  20.37  24
1 1 -1  21.24  20
1 1 1  23.77  35
1 1 -3  32.30  18
1 3 1  37.78  42
2 0 2  43.69  50
1 3 -3  43.93  100
2 0 -6  63.60  42
3 3 -1  63.79  28



No. 6
Computed powder diffraction line list
Compound: Mn3AsO8
Radiation: Cu Ka
Structure: a crystal structure in the Materials Project, relaxed with GGA+U

Atomic structure:
Unit cell a=9.1554 b=12.4558 c=5.1564 alpha=90.00 beta=90.00 gamma=90.00
Space group Pnma (No. 62)
Inequivalent atoms, fractional coordinates:
Mn 0.0000 0.0000 0.0000 x4
Mn 0.0257 0.1179 0.4702 x8
As 0.1508 0.7500 0.0223 x4
O 0.0873 0.6377 0.1810 x8
O 0.0903 0.7500 0.7023 x4
O 0.1048 0.5052 0.6681 x8
O 0.1302 0.0914 0.1805 x8
O 0.1597 0.2500 0.5593 x4

The 10 most intense peaks (2θ = 5–70°), low angle first:
index  2θ (°)  Rel. int.
2 0 0  19.39  100
1 1 1  21.02  89
2 2 0  24.13  40
2 3 0  29.03  37
1 3 1  29.29  23
0 0 2  34.81  35
1 4 1  35.06  88
3 2 1  37.15  32
5 3 1  57.86  22
1 4 3  62.55  35